[1]
Computed powder XRD pattern of RbHS for Cu Kα (weighted mean of Kα1 and Kα2), from a structure optimized by DFT (GGA-PBE).
No peak broadening, texture or thermal motion is included.

Peak list (10 most intense, 5° ≤ 2θ ≤ 70°, sorted by position)
d [Å]  intensity
3.974  32
3.474  38
3.368  100
2.749  28
2.462  14
2.420  30
2.412  18
2.131  16
1.988  14
1.517  11

Structural model:
```
12
Lattice="4.9025 0.0000 0.0000 0.0000 4.9235 0.0000 0.0000 0.0000 13.4915" Properties=species:S:1:pos:R:3 pbc="T T T"
Rb 0.5185 0.2038 1.5857
Rb 1.9328 4.7197 8.3314
Rb 2.9697 2.2579 11.9058
Rb 4.3840 2.6656 5.1601
H 0.0734 0.4404 10.6300
H 2.3779 4.4831 3.8843
H 2.5246 2.0213 2.8614
H 4.8291 2.9022 9.6072
S 0.5815 4.6772 11.6844
S 1.8698 0.2463 4.9387
S 3.0327 2.7081 1.8070
S 4.3210 2.2155 8.5528
```

=====

[2]
Computed powder XRD pattern of BaUI5 for Cu Kα (weighted mean of Kα1 and Kα2), from a structure optimized by DFT (GGA-PBE).
No peak broadening, texture or thermal motion is included.

Peak list (10 most intense, 5° ≤ 2θ ≤ 70°, sorted by position)
d [Å]  intensity
7.507  59
5.623  100
4.825  29
3.682  50
3.513  56
3.187  77
3.106  38
2.804  32
2.607  30
2.419  36

Structural model:
```
14
Lattice="5.7335 -5.9744 0.0000 5.7335 5.9744 0.0000 -4.5806 0.0000 10.7283" Properties=species:S:1:pos:R:3 pbc="T T T"
Ba 2.2980 5.0366 8.0462
Ba 4.5883 -5.0366 2.6821
U 2.8667 2.9872 0.0000
U 0.5764 -2.9872 5.3641
I 2.0555 0.0201 0.6141
I -0.2348 -0.0201 5.9782
I 4.5883 3.3227 2.6821
I 0.8990 2.1339 9.3898
I 3.6970 2.1339 6.7026
I 3.1893 -2.1339 4.0257
I 5.9873 -2.1339 1.3384
I 2.2980 -3.3227 8.0462
I 7.1211 0.0201 4.7500
I 4.8309 -0.0201 10.1141
```

=====

[3]
Computed powder XRD pattern of Li2Er2Cd3 for Cu Kα (weighted mean of Kα1 and Kα2), from a structure optimized by DFT (GGA-PBE).
No peak broadening, texture or thermal motion is included.

Peak list (10 most intense, 5° ≤ 2θ ≤ 70°, sorted by position)
d [Å]  intensity
13.324  100
6.662  20
2.939  35
2.702  66
2.586  50
2.438  64
2.221  17
1.572  24
1.476  20
1.422  15

Structural model:
```
14
Lattice="3.5234 0.0000 0.0000 0.0000 26.6473 0.0000 0.0000 0.0000 3.4040" Properties=species:S:1:pos:R:3 pbc="T T T"
Li 0.0000 5.6276 0.0000
Li 0.0000 21.0198 0.0000
Li 1.7617 7.6961 0.0000
Li 1.7617 18.9512 0.0000
Er 0.0000 2.1288 0.0000
Er 0.0000 24.5185 0.0000
Er 1.7617 11.1948 0.0000
Er 1.7617 15.4525 0.0000
Cd 0.0000 9.1075 1.7020
Cd 0.0000 13.3237 1.7020
Cd 0.0000 17.5398 1.7020
Cd 1.7617 0.0000 1.7020
Cd 1.7617 4.2161 1.7020
Cd 1.7617 22.4312 1.7020
```

=====

[4]
Computed powder XRD pattern of PmNd2Ni2 for Cu Kα (weighted mean of Kα1 and Kα2), from a structure optimized by DFT (GGA-PBE).
No peak broadening, texture or thermal motion is included.

Peak list (10 most intense, 5° ≤ 2θ ≤ 70°, sorted by position)
d [Å]  intensity
3.167  76
3.125  44
3.105  41
2.846  100
2.748  57
2.608  55
2.449  39
2.440  31
2.262  37
1.841  28

Structural model:
```
10
Lattice="5.6451 -3.1034 0.0000 5.6451 3.1034 0.0000 -1.5013 0.0000 7.1295" Properties=species:S:1:pos:R:3 pbc="T T T"
Pm 4.5191 2.6079 5.3472
Pm 5.2697 -2.6079 1.7824
Nd 3.3596 0.6313 2.4784
Nd 2.6089 -0.6313 6.0431
Nd 7.1799 0.6313 1.0864
Nd 6.4292 -0.6313 4.6512
Ni 2.3847 2.1127 7.0776
Ni 6.6535 2.1127 3.6167
Ni 3.1353 -2.1127 3.5129
Ni 7.4042 -2.1127 0.0519
```

=====

[5]
Computed powder XRD pattern of Ac2PuCdO6 for Cu Kα (weighted mean of Kα1 and Kα2), from a structure optimized by DFT (GGA-PBE).
No peak broadening, texture or thermal motion is included.

Peak list (10 most intense, 5° ≤ 2θ ≤ 70°, sorted by position)
d [Å]  intensity
5.587  7
3.244  100
2.817  35
2.794  14
2.287  8
1.992  18
1.984  27
1.697  32
1.687  13
1.622  11

Structural model:
```
10
Lattice="5.6340 0.0000 0.0000 0.0000 5.6340 0.0000 0.0000 0.0000 5.5871" Properties=species:S:1:pos:R:3 pbc="T T T"
Ac 0.0000 2.8170 0.0000
Ac 2.8170 0.0000 0.0000
Pu 0.0000 0.0000 3.1983
Cd 2.8170 2.8170 2.9900
O 0.0000 0.0000 0.9559
O 1.3785 1.3785 4.0550
O 1.3785 4.2555 4.0550
O 2.8170 2.8170 0.8333
O 4.2555 1.3785 4.0550
O 4.2555 4.2555 4.0550
```

=====

[6]
Computed powder XRD pattern of Sm2Zn5Ga3 for Cu Kα (weighted mean of Kα1 and Kα2), from a structure optimized by DFT (GGA-PBE).
No peak broadening, texture or thermal motion is included.

Peak list (10 most intense, 5° ≤ 2θ ≤ 70°, sorted by position)
d [Å]  intensity
2.991  17
2.709  60
2.604  100
2.115  54
1.982  8
1.893  30
1.667  28
1.519  11
1.496  17
1.410  23

Structural model:
```
10
Lattice="4.2302 0.0000 0.0000 0.0000 4.2302 0.0000 0.0000 0.0000 10.5825" Properties=species:S:1:pos:R:3 pbc="T T T"
Sm 0.0000 2.1151 2.6359
Sm 2.1151 0.0000 7.9466
Zn 0.0000 0.0000 0.0000
Zn 0.0000 0.0000 5.2913
Zn 0.0000 2.1151 9.2284
Zn 2.1151 0.0000 1.3541
Zn 2.1151 2.1151 0.0000
Ga 0.0000 2.1151 6.8008
Ga 2.1151 0.0000 3.7817
Ga 2.1151 2.1151 5.2913
```

=====

[7]
Computed powder XRD pattern of Zr2SiHg for Cu Kα (weighted mean of Kα1 and Kα2), from a structure optimized by DFT (GGA-PBE).
No peak broadening, texture or thermal motion is included.

Peak list (10 most intense, 5° ≤ 2θ ≤ 70°, sorted by position)
d [Å]  intensity
8.068  26
4.034  12
3.183  18
2.961  25
2.689  11
2.536  29
2.499  100
2.044  15
1.591  14
1.457  18

Structural model:
```
8
Lattice="4.0876 0.0000 0.0000 0.0000 5.0719 0.0000 0.0000 0.0000 8.0684" Properties=species:S:1:pos:R:3 pbc="T T T"
Zr 0.0000 0.0000 0.0000
Zr 0.0000 2.5359 2.3366
Zr 2.0438 0.0000 2.3366
Zr 2.0438 2.5359 0.0000
Si 0.0000 0.0000 4.0160
Si 2.0438 2.5359 4.0160
Hg 0.0000 2.5359 5.8639
Hg 2.0438 0.0000 5.8639
```

=====

[8]
Computed powder XRD pattern of Ho7Mg2In2 for Cu Kα (weighted mean of Kα1 and Kα2), from a structure optimized by DFT (GGA-PBE).
No peak broadening, texture or thermal motion is included.

Peak list (10 most intense, 5° ≤ 2θ ≤ 70°, sorted by position)
d [Å]  intensity
3.501  78
3.453  52
3.186  68
2.924  79
2.816  93
2.630  42
2.588  59
2.430  100
2.110  42
1.363  38

Structural model:
```
11
Lattice="3.4207 -5.6323 0.0000 3.4207 5.6323 0.0000 0.0000 0.0000 8.7428" Properties=species:S:1:pos:R:3 pbc="T T T"
Ho 0.0000 0.0000 0.0000
Ho 1.7103 2.8162 2.6520
Ho 1.7103 2.8162 6.0908
Ho 1.7103 -2.8162 2.6520
Ho 1.7103 -2.8162 6.0908
Ho 3.4207 0.0000 1.8415
Ho 3.4207 0.0000 6.9013
Mg 3.4207 2.5262 0.0000
Mg 3.4207 -2.5262 0.0000
In 1.4900 0.0000 4.3714
In 5.3514 0.0000 4.3714
```